1.
Starting from a structure optimized by DFT (PBE), the X-ray diffraction stick pattern of LaO2F2 was calculated for Cu Ka.
Intensities are scaled so that the largest is 100.

Peak list (6 most intense, 2θ = 15–90°, low angle first)
2theta	intensity
18.98	100
20.66	40
22.17	37
38.50	25
41.25	16
42.51	18

Cell and atoms:
Unit cell a=7.1448 b=7.1448 c=6.6609 alpha=94.32 beta=94.32 gamma=141.92
Sites, in units of the cell vectors:
La: 0.1202 0.8798 0.5000
La: 0.8798 0.1202 0.0000
O: 0.0051 0.4481 0.3297
O: 0.4481 0.0051 0.8297
O: 0.5445 0.9866 0.6716
O: 0.9866 0.5445 0.1716
F: 0.0021 0.0055 0.7472
F: 0.0055 0.0021 0.2472
F: 0.3950 0.6091 0.0057
F: 0.6091 0.3950 0.5057

=====

2.
Starting from a structure optimized by DFT (PBE), the X-ray diffraction stick pattern of Zn4Cd2Ag was calculated for Cu Ka.
Intensities are scaled so that the largest is 100.

Peak list (6 most intense, 2θ = 15–90°, low angle first)
2theta	intensity
32.05	50
40.13	42
40.30	100
40.60	66
52.26	23
73.24	24

Cell and atoms:
Unit cell a=3.1599 b=4.4938 c=17.8973 alpha=90.00 beta=90.00 gamma=90.00
Sites, in units of the cell vectors:
Zn: 0.0000 0.0000 0.0797
Zn: 0.0000 0.0000 0.3769
Zn: 0.0000 0.0000 0.6231
Zn: 0.0000 0.0000 0.9203
Zn: 0.5000 0.5000 0.1231
Zn: 0.5000 0.5000 0.4203
Zn: 0.5000 0.5000 0.5797
Zn: 0.5000 0.5000 0.8769
Cd: 0.0000 0.5000 0.2812
Cd: 0.0000 0.5000 0.7188
Cd: 0.5000 0.0000 0.2188
Cd: 0.5000 0.0000 0.7812
Ag: 0.0000 0.5000 0.0000
Ag: 0.5000 0.0000 0.5000

=====

3.
Starting from a structure optimized by DFT (PBE), the X-ray diffraction stick pattern of NaCu6Sn6 was calculated for Cu Ka.
Intensities are scaled so that the largest is 100.

Peak list (6 most intense, 2θ = 15–90°, low angle first)
2theta	intensity
32.39	71
37.90	70
42.44	51
42.62	100
43.38	61
69.74	51

Cell and atoms:
Unit cell a=7.2153 b=7.2153 c=7.2153 alpha=135.19 beta=100.02 gamma=96.69
Sites, in units of the cell vectors:
Na: 0.0000 0.0000 0.0000
Cu: 0.0000 0.0000 0.5000
Cu: 0.0000 0.5000 0.0000
Cu: 0.2509 0.5000 0.7509
Cu: 0.5000 0.0000 0.0000
Cu: 0.5000 0.5000 0.5000
Cu: 0.7491 0.5000 0.2491
Sn: 0.1651 0.6651 0.5000
Sn: 0.3325 0.3325 0.0000
Sn: 0.3349 0.0000 0.3349
Sn: 0.6651 0.0000 0.6651
Sn: 0.6675 0.6675 0.0000
Sn: 0.8349 0.3349 0.5000

=====

4.
Starting from a structure optimized by DFT (PBE), the X-ray diffraction stick pattern of Y4TmNi2 was calculated for Cu Ka.
Intensities are scaled so that the largest is 100.

Peak list (6 most intense, 2θ = 15–90°, low angle first)
2theta	intensity
30.90	80
31.23	99
31.37	93
33.74	62
35.41	60
37.30	100

Cell and atoms:
Unit cell a=7.5039 b=6.3677 c=7.9725 alpha=90.00 beta=112.29 gamma=90.00
Sites, in units of the cell vectors:
Y: 0.0287 0.2500 0.3875
Y: 0.2472 0.7500 0.3412
Y: 0.4077 0.0042 0.7701
Y: 0.4077 0.4958 0.7701
Y: 0.5923 0.5042 0.2299
Y: 0.5923 0.9958 0.2299
Y: 0.7528 0.2500 0.6588
Y: 0.9713 0.7500 0.6125
Tm: 0.1520 0.2500 0.0311
Tm: 0.8480 0.7500 0.9689
Ni: 0.2472 0.7500 0.9916
Ni: 0.3837 0.2500 0.4099
Ni: 0.6163 0.7500 0.5901
Ni: 0.7528 0.2500 0.0084